# TaAl4Zn10
Computed powder diffractogram, Cu Kα (λ = 1.5418 Å). Input: a DFT-relaxed cell (GGA-PBE, Alexandria).
Lines closer than 0.1° are merged.

Structure:
```
data_TaAl4Zn10
_cell_length_a 11.473
_cell_length_b 7.702
_cell_length_c 5.507
_cell_angle_alpha 90.00
_cell_angle_beta 103.16
_cell_angle_gamma 90.00
_symmetry_space_group_name_H-M 'C 1 2/m 1'
_symmetry_Int_Tables_number 12
loop_
_symmetry_equiv_pos_as_xyz
'x,y,z'
'-x,-y,-z'
'-x,y,-z'
'x,-y,z'
'x+1/2,y+1/2,z'
'-x+1/2,-y+1/2,-z'
'-x+1/2,y+1/2,-z'
'x+1/2,-y+1/2,z'
loop_
_atom_site_label
_atom_site_type_symbol
_atom_site_fract_x
_atom_site_fract_y
_atom_site_fract_z
_atom_site_occupancy
Ta1 Ta 0.000 0.000 0.000 1
Al1 Al 0.107 0.500 0.428 1
Al2 Al 0.208 0.000 0.838 1
Zn1 Zn 0.000 0.158 0.500 1
Zn2 Zn 0.090 0.332 0.888 1
Zn3 Zn 0.196 0.173 0.300 1
```

Peak list (10 most intense, 2θ from 10° to 90°, low angle first)
6.341 Å, I = 21
5.586 Å, I = 12
4.390 Å, I = 14
2.746 Å, I = 11
2.341 Å, I = 32
2.236 Å, I = 29
2.225 Å, I = 100
2.146 Å, I = 24
1.651 Å, I = 11
1.285 Å, I = 10